Structure and simulated powder diffraction line list of SmHo3Tm7 (the GGA-PBE geometry in Alexandria; Cu Ka).
Intensities are scaled so that the largest is 100.

a b c (Å): 6.856 5.455 9.810
angles (deg): 90.00 109.24 90.00
Positions (direct):
Sm  0.000  0.000  0.000
Ho  0.276  0.500  0.494
Ho  0.500  0.000  0.000
Ho  0.724  0.500  0.506
Tm  0.000  0.000  0.500
Tm  0.151  0.500  0.790
Tm  0.321  0.500  0.142
Tm  0.429  0.000  0.332
Tm  0.571  0.000  0.668
Tm  0.679  0.500  0.858
Tm  0.849  0.500  0.210

Largest 12 diffraction maxima, sorted by position, 10° ≤ 2θ ≤ 80°:
d_spacing, Position (°2θ), intensity, h k l
2.816, 31.78, 20, 1 1 2
2.782, 32.17, 100, 2 1 0
2.755, 32.50, 44, 2 1 -2
2.727, 32.84, 69, 0 2 0
2.687, 33.35, 54, 0 1 3
1.929, 47.13, 13, 2 2 -3
1.713, 53.49, 15, 4 0 -2
1.585, 58.21, 16, 2 3 0
1.580, 58.42, 12, 2 3 -2
1.574, 58.65, 10, 2 1 4
1.567, 58.95, 11, 0 3 3
1.451, 64.20, 18, 4 2 -2